Diffraction record for PrSe2. The PXRD pattern is calculated, not measured: it uses the GGA-PBE geometry in Alexandria and a wavelength of 1.5418 Å.
Neutral-atom scattering factors, no anomalous dispersion.

Structure:
```
24
Lattice="8.416 0.000 0.000 0.000 8.416 0.000 0.000 0.000 8.642" Properties=species:S:1:pos:R:3 pbc="T T T"
Pr 0.066 2.100 2.371
Pr 2.108 4.142 6.271
Pr 2.100 8.350 6.271
Pr 4.142 6.308 2.371
Pr 4.274 2.108 2.371
Pr 6.316 0.066 6.271
Pr 6.308 4.274 6.271
Pr 8.350 6.316 2.371
Se 0.000 0.000 0.000
Se 0.000 4.208 0.000
Se 0.015 2.104 5.463
Se 1.920 6.128 0.000
Se 2.105 4.193 3.179
Se 2.104 8.402 3.179
Se 2.288 1.920 0.000
Se 4.193 6.312 5.463
Se 4.208 0.000 0.000
Se 4.208 4.208 0.000
Se 4.223 2.105 5.463
Se 6.128 6.496 0.000
Se 6.313 0.015 3.179
Se 6.312 4.223 3.179
Se 6.496 2.288 0.000
Se 8.402 6.313 5.463
```

Top 8 peaks for 2θ = 10–80°, in order of falling intensity:
| d [Å] | I (rel.) |
| --- | --- |
| 2.451 | 1000 |
| 2.813 | 714 |
| 2.377 | 588 |
| 2.104 | 576 |
| 3.783 | 429 |
| 2.976 | 371 |
| 1.272 | 366 |
| 2.881 | 349 |

Diffraction record for YHfCuOs. The PXRD pattern is calculated, not measured: it uses the GGA-PBE geometry in Alexandria and a wavelength of 1.5418 Å.
Neutral-atom scattering factors, no anomalous dispersion.

Structure:
```
4
Lattice="0.000 3.344 3.344 3.344 0.000 3.344 3.344 3.344 0.000" Properties=species:S:1:pos:R:3 pbc="T T T"
Y 0.000 0.000 0.000
Hf 3.344 3.344 3.344
Cu 5.017 5.017 5.017
Os 1.672 1.672 1.672
```

Top 7 peaks for 2θ = 10–80°, in order of falling intensity:
| d [Å] | I (rel.) |
| --- | --- |
| 2.365 | 1000 |
| 1.365 | 348 |
| 3.862 | 180 |
| 1.672 | 172 |
| 2.017 | 99 |
| 1.535 | 44 |
| 1.287 | 34 |

Diffraction record for Li3MgAu4. The PXRD pattern is calculated, not measured: it uses the GGA-PBE geometry in Alexandria and a wavelength of 1.5418 Å.
Neutral-atom scattering factors, no anomalous dispersion.

Structure:
```
8
Lattice="3.184 0.000 0.000 0.000 3.184 0.000 0.000 0.000 12.565" Properties=species:S:1:pos:R:3 pbc="T T T"
Li 0.000 0.000 0.000
Li 0.000 0.000 3.005
Li 0.000 0.000 9.560
Mg 0.000 0.000 6.283
Au 1.592 1.592 1.507
Au 1.592 1.592 4.558
Au 1.592 1.592 8.008
Au 1.592 1.592 11.059
```

Top 8 peaks for 2θ = 10–80°, in order of falling intensity:
| d [Å] | I (rel.) |
| --- | --- |
| 3.184 | 1000 |
| 2.236 | 902 |
| 2.252 | 486 |
| 3.141 | 456 |
| 1.830 | 401 |
| 1.297 | 323 |
| 1.424 | 189 |
| 1.420 | 177 |

Diffraction record for PH6AuCI3. The PXRD pattern is calculated, not measured: it uses the GGA-PBE geometry in Alexandria and a wavelength of 1.5418 Å.
Neutral-atom scattering factors, no anomalous dispersion.

Structure:
```
24
Lattice="5.843 0.000 0.000 -0.052 8.894 0.000 -0.027 -0.021 9.945" Properties=species:S:1:pos:R:3 pbc="T T T"
P 0.000 0.000 0.000
P -0.016 4.795 6.131
H 0.013 7.493 0.224
H 0.084 4.371 3.787
H 0.909 5.904 4.228
H 0.965 0.781 2.042
H 1.055 0.334 9.113
H 1.133 4.063 6.508
H 4.648 0.242 9.201
H 4.707 3.983 6.418
H 4.957 5.836 4.164
H 5.014 0.709 2.129
H 5.749 5.926 6.961
H 5.819 2.037 1.222
Au 2.928 0.480 5.591
Au 2.932 4.888 0.188
C 0.030 0.975 1.501
C 0.027 5.275 4.406
I 0.006 0.546 5.705
I 0.010 4.818 0.136
I 2.869 7.256 7.184
I 2.908 2.772 8.505
I 2.936 2.546 3.942
I 2.929 6.991 1.811
```

Top 8 peaks for 2θ = 10–80°, in order of falling intensity:
| d [Å] | I (rel.) |
| --- | --- |
| 6.629 | 1000 |
| 2.922 | 339 |
| 5.843 | 335 |
| 3.318 | 252 |
| 4.340 | 239 |
| 3.311 | 232 |
| 3.488 | 214 |
| 2.676 | 188 |

Diffraction record for Sc8ZnTc2. The PXRD pattern is calculated, not measured: it uses the GGA-PBE geometry in Alexandria and a wavelength of 1.5418 Å.
Neutral-atom scattering factors, no anomalous dispersion.

Structure:
```
11
Lattice="-2.447 7.265 3.217 2.447 -7.265 3.217 2.447 7.265 -3.217" Properties=species:S:1:pos:R:3 pbc="T T T"
Sc 0.000 0.000 0.000
Sc 2.447 2.356 -0.532
Sc 2.447 -3.019 2.491
Sc 2.447 0.000 1.815
Sc 2.447 5.644 0.417
Sc 2.447 3.019 2.491
Sc 0.000 1.621 3.635
Sc 0.000 4.909 2.686
Zn 0.000 7.265 1.288
Tc 2.447 4.844 -2.004
Tc 0.000 2.421 1.213
```

Top 8 peaks for 2θ = 10–80°, in order of falling intensity:
| d [Å] | I (rel.) |
| --- | --- |
| 2.351 | 1000 |
| 2.447 | 530 |
| 3.870 | 348 |
| 2.645 | 322 |
| 2.657 | 313 |
| 1.963 | 310 |
| 2.057 | 275 |
| 3.895 | 268 |

Diffraction record for Li3CuPO5. The PXRD pattern is calculated, not measured: it uses the GGA-PBE geometry in Alexandria and a wavelength of 1.5418 Å.
Neutral-atom scattering factors, no anomalous dispersion.

Structure:
```
40
Lattice="5.403 0.000 0.000 0.000 15.623 0.000 0.000 0.000 5.000" Properties=species:S:1:pos:R:3 pbc="T T T"
Li 0.835 1.442 0.000
Li 0.919 7.824 0.009
Li 0.922 10.883 4.991
Li 1.780 3.072 2.491
Li 1.782 0.013 2.509
Li 1.866 9.254 2.500
Li 3.536 6.370 0.000
Li 3.621 15.611 0.009
Li 3.623 12.552 4.991
Li 4.481 4.740 2.491
Li 4.483 7.799 2.509
Li 4.568 14.181 2.500
Cu 0.866 4.497 0.065
Cu 1.835 12.309 2.565
Cu 3.567 3.314 0.065
Cu 4.537 11.126 2.565
P 0.921 14.060 4.989
P 1.780 6.248 2.489
P 3.622 9.375 4.989
P 4.482 1.564 2.489
O 0.546 1.541 3.006
O 0.882 10.798 3.021
O 0.927 14.089 3.423
O 1.000 7.490 3.017
O 1.066 4.936 2.965
O 1.635 12.748 0.465
O 1.701 15.302 0.517
O 1.774 6.277 0.923
O 1.819 2.987 0.521
O 2.155 9.353 0.506
O 3.247 6.271 3.006
O 3.584 12.637 3.021
O 3.629 9.346 3.423
O 3.701 0.321 3.017
O 3.767 2.875 2.965
O 4.337 10.687 0.465
O 4.403 8.133 0.517
O 4.475 1.534 0.923
O 4.520 4.825 0.521
O 4.857 14.082 0.506
```

Top 8 peaks for 2θ = 10–80°, in order of falling intensity:
| d [Å] | I (rel.) |
| --- | --- |
| 3.607 | 1000 |
| 2.704 | 801 |
| 4.443 | 728 |
| 7.812 | 692 |
| 2.379 | 611 |
| 2.500 | 531 |
| 1.561 | 396 |
| 4.762 | 388 |

Diffraction record for MgTlInHg2. The PXRD pattern is calculated, not measured: it uses the GGA-PBE geometry in Alexandria and a wavelength of 1.5418 Å.
Neutral-atom scattering factors, no anomalous dispersion.

Structure:
```
5
Lattice="5.116 0.000 0.000 -2.558 4.430 0.000 0.000 0.000 6.208" Properties=species:S:1:pos:R:3 pbc="T T T"
Mg 0.000 0.000 0.000
Tl 2.558 1.477 1.662
In 0.000 2.954 3.705
Hg 0.000 0.000 3.279
Hg 0.000 2.954 0.428
```

Top 8 peaks for 2θ = 10–80°, in order of falling intensity:
| d [Å] | I (rel.) |
| --- | --- |
| 2.558 | 1000 |
| 3.606 | 830 |
| 2.542 | 793 |
| 1.474 | 298 |
| 1.803 | 288 |
| 6.208 | 224 |
| 1.974 | 203 |
| 2.086 | 194 |

Diffraction record for Sr4Nd3Ta2Al5O21. The PXRD pattern is calculated, not measured: it uses the GGA-PBE geometry in Alexandria and a wavelength of 1.5418 Å.
Neutral-atom scattering factors, no anomalous dispersion.

Structure:
```
35
Lattice="2.732 1.577 15.654 -2.732 1.577 15.654 0.000 -3.155 15.654" Properties=species:S:1:pos:R:3 pbc="T T T"
Sr 0.000 0.000 3.512
Sr 0.000 0.000 16.784
Sr 0.000 0.000 30.177
Sr 0.000 0.000 43.449
Nd 0.000 0.000 9.901
Nd 0.000 0.000 23.481
Nd 0.000 0.000 37.060
Ta 0.000 0.000 13.372
Ta 0.000 0.000 33.589
Al 0.000 0.000 0.000
Al 0.000 0.000 6.706
Al 0.000 0.000 20.246
Al 0.000 0.000 26.715
Al 0.000 0.000 40.255
O -2.732 0.000 23.481
O -1.366 0.789 7.827
O -1.353 -0.781 19.128
O 0.000 -1.607 14.533
O -1.392 0.804 14.533
O -1.345 -0.776 25.620
O 0.000 -1.553 21.341
O -1.345 0.776 21.341
O -1.392 -0.804 32.428
O 0.000 -1.562 27.833
O -1.353 0.781 27.833
O 1.366 0.789 7.827
O 1.353 -0.781 19.128
O 0.000 1.562 19.128
O 1.392 0.804 14.533
O 1.345 -0.776 25.620
O 0.000 1.553 25.620
O 1.345 0.776 21.341
O 1.392 -0.804 32.428
O 0.000 1.607 32.428
O 1.353 0.781 27.833
```

Top 8 peaks for 2θ = 10–80°, in order of falling intensity:
| d [Å] | I (rel.) |
| --- | --- |
| 2.734 | 1000 |
| 1.933 | 337 |
| 1.578 | 294 |
| 1.223 | 161 |
| 4.639 | 135 |
| 4.389 | 107 |
| 1.366 | 104 |
| 1.368 | 91 |

Diffraction record for AcCdInAu2. The PXRD pattern is calculated, not measured: it uses the GGA-PBE geometry in Alexandria and a wavelength of 1.5418 Å.
Neutral-atom scattering factors, no anomalous dispersion.

Structure:
```
10
Lattice="3.040 -6.990 0.000 3.040 6.990 0.000 0.000 0.000 6.192" Properties=species:S:1:pos:R:3 pbc="T T T"
Ac 3.040 3.495 4.711
Ac 3.040 -3.495 1.481
Cd 1.520 0.000 3.096
Cd 4.560 0.000 3.096
In 0.000 0.000 0.000
In 3.040 0.000 0.000
Au 3.040 4.876 1.756
Au 3.040 2.114 1.756
Au 3.040 -2.114 4.436
Au 3.040 -4.876 4.436
```

Top 8 peaks for 2θ = 10–80°, in order of falling intensity:
| d [Å] | I (rel.) |
| --- | --- |
| 2.350 | 1000 |
| 2.831 | 727 |
| 3.175 | 663 |
| 3.040 | 537 |
| 2.169 | 360 |
| 1.586 | 308 |
| 2.788 | 260 |
| 1.602 | 243 |

Diffraction record for Y3SnPd. The PXRD pattern is calculated, not measured: it uses the GGA-PBE geometry in Alexandria and a wavelength of 1.5418 Å.
Neutral-atom scattering factors, no anomalous dispersion.

Structure:
```
20
Lattice="6.378 -5.490 0.000 6.378 5.490 0.000 0.000 0.000 8.032" Properties=species:S:1:pos:R:3 pbc="T T T"
Y 4.548 3.762 3.315
Y 6.378 4.675 6.427
Y 4.548 1.727 7.331
Y 8.207 3.762 3.315
Y 6.378 0.815 2.411
Y 8.207 1.727 7.331
Y 4.548 -1.727 0.701
Y 6.378 -0.815 5.621
Y 4.548 -3.762 4.717
Y 8.207 -1.727 0.701
Y 6.378 -4.675 1.605
Y 8.207 -3.762 4.717
Sn 3.189 0.999 2.008
Sn 3.189 -0.999 6.024
Sn 9.566 0.999 2.008
Sn 9.566 -0.999 6.024
Pd 6.378 3.398 0.998
Pd 6.378 2.091 5.014
Pd 6.378 -2.091 3.018
Pd 6.378 -3.398 7.034
```

Top 8 peaks for 2θ = 10–80°, in order of falling intensity:
| d [Å] | I (rel.) |
| --- | --- |
| 2.406 | 1000 |
| 2.597 | 881 |
| 2.821 | 865 |
| 2.608 | 742 |
| 2.622 | 729 |
| 3.555 | 691 |
| 2.497 | 556 |
| 2.014 | 295 |

Diffraction record for Tm2Cu9Au. The PXRD pattern is calculated, not measured: it uses the GGA-PBE geometry in Alexandria and a wavelength of 1.5418 Å.
Neutral-atom scattering factors, no anomalous dispersion.

Structure:
```
12
Lattice="2.535 1.463 8.081 -2.535 1.463 8.081 0.000 -2.927 8.081" Properties=species:S:1:pos:R:3 pbc="T T T"
Tm 0.000 0.000 3.255
Tm 0.000 0.000 20.988
Cu -1.281 -0.739 10.082
Cu 0.000 0.000 8.078
Cu 0.000 -1.479 14.161
Cu -1.281 0.739 14.161
Cu 0.000 0.000 12.121
Cu 1.281 -0.739 10.082
Cu 0.000 1.479 10.082
Cu 0.000 0.000 16.165
Cu 1.281 0.739 14.161
Au 0.000 0.000 0.000
```

Top 8 peaks for 2θ = 10–80°, in order of falling intensity:
| d [Å] | I (rel.) |
| --- | --- |
| 2.147 | 1000 |
| 2.535 | 679 |
| 2.494 | 593 |
| 2.719 | 545 |
| 2.186 | 505 |
| 1.267 | 263 |
| 1.376 | 228 |
| 1.455 | 211 |